Starting from DFT lattice parameters and positions (PBE), the PXRD pattern of Na2Tl14Te9 was calculated for Cu Kα.
Lines closer than 0.1° are merged.

Cell and atoms:
```
Na2Tl14Te9
1.0
9.451 0.000 0.000
-4.726 8.185 0.000
0.000 0.000 13.086
Na Tl Te
2 14 9
Direct
0.333 0.667 0.257
0.667 0.333 0.743
0.000 0.000 0.249
0.000 0.000 0.751
0.007 0.664 0.903
0.101 0.414 0.595
0.313 0.899 0.595
0.336 0.344 0.903
0.344 0.007 0.097
0.414 0.313 0.405
0.586 0.687 0.595
0.656 0.993 0.903
0.664 0.656 0.097
0.687 0.101 0.405
0.899 0.586 0.405
0.993 0.336 0.097
0.000 0.000 0.000
0.085 0.331 0.350
0.246 0.915 0.350
0.331 0.246 0.650
0.333 0.667 0.016
0.667 0.333 0.984
0.669 0.754 0.350
0.754 0.085 0.650
0.915 0.669 0.650
```

The 6 most intense peaks (15 to 90 degrees two-theta), most intense first:
hkl 2 -1 4, 2θ 33.31, I 100.0; hkl 1 1 2, 2θ 23.22, I 76.5; hkl 3 0 0, 2θ 32.83, I 61.7; hkl 3 -2 1, 2θ 29.67, I 50.3; hkl 1 2 0, 2θ 28.86, I 40.5; hkl 2 -1 1, 2θ 19.98, I 29.2